1.
This entry pairs a crystal structure of Dy4HoCu4 with its theoretical powder X-ray diffraction pattern. Radiation: Cu Kα X-rays. Structure: a DFT-relaxed cell (PBE, Alexandria).
Lines closer than 0.1° are merged.

Structural model:
```
data_Dy4HoCu4
_cell_length_a 8.5873
_cell_length_b 8.5873
_cell_length_c 5.8968
_cell_angle_alpha 90.00
_cell_angle_beta 90.00
_cell_angle_gamma 90.00
_space_group_name_H-M_alt 'P 42/n'
_space_group_IT_number 86
loop_
_space_group_symop_operation_xyz
'x,y,z'
'-x,-y,-z'
'-y,x+1/2,z+1/2'
'y,-x+1/2,-z+1/2'
'-x+1/2,-y+1/2,z'
'x+1/2,y+1/2,-z'
'y+1/2,-x,z+1/2'
'-y+1/2,x,-z+1/2'
loop_
_atom_site_label
_atom_site_type_symbol
_atom_site_fract_x
_atom_site_fract_y
_atom_site_fract_z
_atom_site_occupancy
Dy1 Dy 0.0542 0.6634 0.1507 1
Ho1 Ho 0.2500 0.2500 0.2500 1
Cu1 Cu 0.0222 0.6207 0.6263 1
```

Top 12 peaks for 2θ = 10–90°, in order of rising 2θ:
| h k l | d [Å] | I (rel.) |
| --- | --- | --- |
| 2 1 1 | 3.218 | 765 |
| 1 0 2 | 2.789 | 458 |
| 1 3 0 | 2.716 | 1000 |
| 1 2 2 | 2.339 | 323 |
| 3 0 2 | 2.054 | 161 |
| 1 3 2 | 1.997 | 114 |
| 4 2 0 | 1.920 | 324 |
| 2 3 2 | 1.853 | 282 |
| 4 1 2 | 1.701 | 173 |
| 5 0 1 | 1.649 | 289 |
| 2 5 2 | 1.403 | 90 |
| 5 5 0 | 1.215 | 120 |

2.
This entry pairs a crystal structure of BaNd4Pb3O12 with its theoretical powder X-ray diffraction pattern. Radiation: Cu Kα X-rays. Structure: a DFT-relaxed cell (PBE, Alexandria).
Lines closer than 0.1° are merged.

Structural model:
```
data_BaNd4Pb3O12
_cell_length_a 8.8552
_cell_length_b 8.8552
_cell_length_c 8.8552
_cell_angle_alpha 90.00
_cell_angle_beta 90.00
_cell_angle_gamma 90.00
_space_group_name_H-M_alt 'I m -3'
_space_group_IT_number 204
_space_group_name_Hall '-I 2 2 3'
loop_
_atom_site_label
_atom_site_type_symbol
_atom_site_fract_x
_atom_site_fract_y
_atom_site_fract_z
_atom_site_occupancy
Ba1 Ba 0.0000 0.0000 0.0000 1
Nd1 Nd 0.2500 0.2500 0.2500 1
Pb1 Pb 0.0000 0.0000 0.5000 1
O1 O 0.0000 0.3097 0.1711 1
```

Top 12 peaks for 2θ = 10–90°, in order of rising 2θ:
| h k l | d [Å] | I (rel.) |
| --- | --- | --- |
| 1 1 0 | 6.262 | 17 |
| 2 0 0 | 4.428 | 14 |
| 2 1 1 | 3.615 | 16 |
| 2 2 0 | 3.131 | 1000 |
| 2 2 2 | 2.556 | 15 |
| 4 0 0 | 2.214 | 227 |
| 4 2 2 | 1.808 | 488 |
| 4 4 0 | 1.565 | 141 |
| 6 2 0 | 1.400 | 195 |
| 4 4 4 | 1.278 | 49 |
| 6 2 4 | 1.183 | 229 |
| 8 0 0 | 1.107 | 24 |

3.
This entry pairs a crystal structure of SmTm3Co2 with its theoretical powder X-ray diffraction pattern. Radiation: Cu Kα X-rays. Structure: a DFT-relaxed cell (PBE, Alexandria).
Lines closer than 0.1° are merged.

Structural model:
```
data_SmTm3Co2
_cell_length_a 16.2627
_cell_length_b 3.7291
_cell_length_c 11.5690
_cell_angle_alpha 90.00
_cell_angle_beta 124.40
_cell_angle_gamma 90.00
_space_group_name_H-M_alt 'C 1 2/m 1'
_space_group_IT_number 12
_space_group_name_Hall '-C 2y'
loop_
_atom_site_label
_atom_site_type_symbol
_atom_site_fract_x
_atom_site_fract_y
_atom_site_fract_z
_atom_site_occupancy
Sm1 Sm 0.1558 0.0000 0.2429 1
Tm1 Tm 0.0840 0.5000 0.4459 1
Tm2 Tm 0.0855 0.5000 0.9352 1
Tm3 Tm 0.1580 0.0000 0.7474 1
Co1 Co 0.2325 0.0000 0.0469 1
Co2 Co 0.2351 0.0000 0.5504 1
```

Top 12 peaks for 2θ = 10–90°, in order of rising 2θ:
| h k l | d [Å] | I (rel.) |
| --- | --- | --- |
| 3 1 -2 | 2.977 | 796 |
| 3 1 0 | 2.864 | 415 |
| 4 0 -4 | 2.848 | 427 |
| 2 0 -4 | 2.803 | 345 |
| 6 0 -2 | 2.692 | 504 |
| 1 1 2 | 2.682 | 1000 |
| 5 1 -2 | 2.451 | 281 |
| 5 1 -4 | 2.183 | 273 |
| 5 1 0 | 2.178 | 301 |
| 1 1 -4 | 2.143 | 286 |
| 0 2 0 | 1.864 | 319 |
| 7 1 -6 | 1.647 | 250 |